Record 1
Starting from a cell relaxed with PBE, the X-ray powder pattern of La4Tb5Ho4 was calculated for Cu Kα, 1.54184 Å.
No peak broadening, texture or thermal motion is included.

Structure:
```
data_La4Tb5Ho4
_space_group_name_H-M_alt 'P -1'
_space_group_IT_number 2
_cell_length_a 5.114
_cell_length_b 9.542
_cell_length_c 9.546
_cell_angle_alpha 85.95
_cell_angle_beta 74.52
_cell_angle_gamma 74.52
loop_
_space_group_symop_operation_xyz
'x,y,z'
'-x,-y,-z'
loop_
_atom_site_label
_atom_site_fract_x
_atom_site_fract_y
_atom_site_fract_z
_atom_site_occupancy
La1 0.078 0.304 0.040 1
La2 0.382 0.540 0.196 1
Tb1 0.000 0.000 0.500 1
Tb2 0.312 0.229 0.648 1
Tb3 0.460 0.852 0.729 1
Ho1 0.153 0.618 0.576 1
Ho2 0.229 0.924 0.118 1
```

The 10 most intense peaks (10° ≤ 2θ ≤ 90°), by angle:
30.3 deg, 2.948 Å, intensity 100; 35.2 deg, 2.553 Å, intensity 51; 50.6 deg, 1.805 Å, intensity 36; 60.0 deg, 1.541 Å, intensity 14; 60.1 deg, 1.539 Å, intensity 28; 63.1 deg, 1.474 Å, intensity 12; 82.3 deg, 1.172 Å, intensity 9; 82.4 deg, 1.171 Å, intensity 9; 84.9 deg, 1.142 Å, intensity 7; 85.0 deg, 1.141 Å, intensity 5


Record 2
Starting from a cell relaxed with PBE, the X-ray powder pattern of La6Tb2Ho5 was calculated for Cu Kα, 1.54184 Å.
No peak broadening, texture or thermal motion is included.

Structure:
```
data_La6Tb2Ho5
_space_group_name_H-M_alt 'P b a m'
_space_group_IT_number 55
_cell_length_a 11.809
_cell_length_b 20.851
_cell_length_c 3.648
_cell_angle_alpha 90.00
_cell_angle_beta 90.00
_cell_angle_gamma 90.00
loop_
_space_group_symop_operation_xyz
'x,y,z'
'-x,-y,-z'
'-x,-y,z'
'x,y,-z'
'x+1/2,-y+1/2,-z'
'-x+1/2,y+1/2,z'
'-x+1/2,y+1/2,-z'
'x+1/2,-y+1/2,z'
loop_
_atom_site_label
_atom_site_fract_x
_atom_site_fract_y
_atom_site_fract_z
_atom_site_occupancy
La1 0.058 0.080 0.000 1
La2 0.081 0.366 0.000 1
La3 0.174 0.634 0.500 1
Tb1 0.164 0.790 0.000 1
Ho1 0.000 0.500 0.500 1
Ho2 0.095 0.226 0.500 1
Ho3 0.200 0.943 0.500 1
```

The 10 most intense peaks (10° ≤ 2θ ≤ 90°), by angle:
30.6 deg, 2.923 Å, intensity 46; 30.9 deg, 2.897 Å, intensity 49; 31.0 deg, 2.888 Å, intensity 55; 31.2 deg, 2.863 Å, intensity 17; 31.6 deg, 2.835 Å, intensity 100; 33.6 deg, 2.667 Å, intensity 29; 36.0 deg, 2.497 Å, intensity 25; 50.0 deg, 1.824 Å, intensity 19; 51.0 deg, 1.790 Å, intensity 19; 60.0 deg, 1.542 Å, intensity 17